(1)
# PaP3O12
Simulated X-ray diffraction stick pattern, CuKα. Input: the PBE geometry in Alexandria.
Intensities are scaled so that the largest is 100.

Peak list (12 most intense, 15° ≤ 2θ ≤ 90°, sorted by position)
hkl, 2theta, I (rel.)
1 0 4, 18.61, 100
1 1 0, 19.11, 55
1 1 3, 22.21, 52
2 0 2, 23.35, 64
0 2 4, 26.80, 71
1 1 6, 29.70, 87
1 2 2, 30.35, 56
2 1 4, 33.12, 34
3 1 2, 41.17, 28
1 2 8, 42.63, 28
2 2 6, 45.31, 31
2 1 10, 48.75, 25

Atomic structure:
```
data_PaP3O12
_chemical_formula_sum 'Pa6 P18 O72'
_cell_length_a 9.2904
_cell_length_b 9.2904
_cell_length_c 23.6724
_cell_angle_alpha 90.00
_cell_angle_beta 90.00
_cell_angle_gamma 120.00
_space_group_name_H-M_alt 'R 3 c'
_space_group_IT_number 161
_space_group_name_Hall 'R 3 -2"c'
loop_
_atom_site_label
_atom_site_type_symbol
_atom_site_fract_x
_atom_site_fract_y
_atom_site_fract_z
Pa1 Pa 0.0000 0.0000 0.0000
P1 P 0.0513 0.3803 0.2738
O1 O 0.0311 0.2001 0.5554
O2 O 0.0313 0.2073 0.2650
O3 O 0.1585 0.4509 0.6173
O4 O 0.1641 0.4359 0.3261
```

=====

(2)
# PaPO6
Simulated X-ray diffraction stick pattern, CuKα. Input: the PBE geometry in Alexandria.
Intensities are scaled so that the largest is 100.

Peak list (12 most intense, 15° ≤ 2θ ≤ 90°, sorted by position)
hkl, 2theta, I (rel.)
1 0 1, 21.12, 88
1 1 0, 27.36, 100
0 1 2, 32.51, 59
0 2 1, 34.81, 21
0 0 3, 43.00, 37
2 1 1, 44.83, 53
3 0 0, 48.36, 15
1 2 2, 51.72, 74
1 0 4, 60.98, 20
3 1 2, 66.68, 21
0 4 2, 73.51, 17
2 1 4, 74.85, 23

Atomic structure:
```
data_PaPO6
_chemical_formula_sum 'Pa3 P3 O18'
_cell_length_a 6.5200
_cell_length_b 6.5200
_cell_length_c 6.3086
_cell_angle_alpha 90.00
_cell_angle_beta 90.00
_cell_angle_gamma 120.00
_space_group_name_H-M_alt 'R -3 m'
_space_group_IT_number 166
_space_group_name_Hall '-R 3 2"'
loop_
_atom_site_label
_atom_site_type_symbol
_atom_site_fract_x
_atom_site_fract_y
_atom_site_fract_z
Pa1 Pa 0.0000 0.0000 0.0000
P1 P 0.0000 0.0000 0.5000
O1 O 0.1001 0.5501 0.3329
```

=====

(3)
# PaP2PbO8
Simulated X-ray diffraction stick pattern, CuKα. Input: the PBE geometry in Alexandria.
Intensities are scaled so that the largest is 100.

Peak list (12 most intense, 15° ≤ 2θ ≤ 90°, sorted by position)
hkl, 2theta, I (rel.)
1 0 0, 18.76, 100
0 0 2, 23.85, 13
0 1 2, 30.52, 80
1 1 0, 32.79, 43
2 0 0, 38.04, 13
1 1 2, 40.95, 36
2 0 2, 45.40, 34
2 1 0, 51.08, 18
0 1 4, 52.76, 15
1 2 2, 57.12, 27
1 1 4, 60.07, 15
3 1 2, 77.04, 13

Atomic structure:
```
data_PaP2PbO8
_chemical_formula_sum 'Pa1 P2 Pb1 O8'
_cell_length_a 5.4631
_cell_length_b 5.4631
_cell_length_c 7.4603
_cell_angle_alpha 90.00
_cell_angle_beta 90.00
_cell_angle_gamma 120.00
_space_group_name_H-M_alt 'P -3 m 1'
_space_group_IT_number 164
_space_group_name_Hall '-P 3 2"'
loop_
_atom_site_label
_atom_site_type_symbol
_atom_site_fract_x
_atom_site_fract_y
_atom_site_fract_z
Pa1 Pa 0.0000 0.0000 0.0000
P1 P 0.3333 0.6667 0.7220
Pb1 Pb 0.0000 0.0000 0.5000
O1 O 0.1798 0.3596 0.8011
O2 O 0.3333 0.6667 0.5195
```

=====

(4)
# PrPaP2O8
Simulated X-ray diffraction stick pattern, CuKα. Input: the PBE geometry in Alexandria.
Intensities are scaled so that the largest is 100.

Peak list (12 most intense, 15° ≤ 2θ ≤ 90°, sorted by position)
hkl, 2theta, I (rel.)
1 0 0, 19.06, 100
1 0 1, 22.63, 26
0 1 2, 31.08, 76
1 1 0, 33.32, 44
2 0 0, 38.67, 12
1 1 2, 41.68, 38
2 0 2, 46.21, 34
2 1 0, 51.95, 17
1 0 4, 53.82, 16
1 2 2, 58.15, 25
1 1 4, 61.27, 12
2 1 4, 74.84, 13

Atomic structure:
```
data_PrPaP2O8
_chemical_formula_sum 'Pr1 Pa1 P2 O8'
_cell_length_a 5.3773
_cell_length_b 5.3773
_cell_length_c 7.3212
_cell_angle_alpha 90.00
_cell_angle_beta 90.00
_cell_angle_gamma 120.00
_space_group_name_H-M_alt 'P -3 m 1'
_space_group_IT_number 164
_space_group_name_Hall '-P 3 2"'
loop_
_atom_site_label
_atom_site_type_symbol
_atom_site_fract_x
_atom_site_fract_y
_atom_site_fract_z
Pr1 Pr 0.0000 0.0000 0.0000
Pa1 Pa 0.0000 0.0000 0.5000
P1 P 0.3333 0.6667 0.1950
O1 O 0.1765 0.3529 0.2701
O2 O 0.3333 0.6667 0.9871
```

=====

(5)
# PuPaP2O
Simulated X-ray diffraction stick pattern, CuKα. Input: the PBE geometry in Alexandria.
Intensities are scaled so that the largest is 100.

Peak list (12 most intense, 15° ≤ 2θ ≤ 90°, sorted by position)
hkl, 2theta, I (rel.)
1 0 2, 26.46, 100
0 0 4, 26.62, 25
1 1 0, 32.49, 51
1 0 4, 35.34, 17
1 1 4, 42.48, 35
2 0 0, 46.61, 21
1 0 6, 46.90, 13
1 1 6, 52.77, 10
2 1 2, 54.43, 44
3 0 2, 74.43, 12
3 1 0, 77.45, 9
3 1 4, 83.61, 10

Atomic structure:
```
data_PuPaP2O
_chemical_formula_sum 'Pu2 Pa2 P4 O2'
_cell_length_a 3.8971
_cell_length_b 3.8971
_cell_length_c 13.3954
_cell_angle_alpha 90.00
_cell_angle_beta 90.00
_cell_angle_gamma 90.00
_space_group_name_H-M_alt 'P 4/n m m'
_space_group_IT_number 129
loop_
_space_group_symop_operation_xyz
'x,y,z'
'-x,-y,-z'
'-y+1/2,x,z'
'y+1/2,-x,-z'
'-x+1/2,-y+1/2,z'
'x+1/2,y+1/2,-z'
'y,-x+1/2,z'
'-y,x+1/2,-z'
'x+1/2,-y,-z'
'-x+1/2,y,z'
'-y,-x,-z'
'y,x,z'
'-x,y+1/2,-z'
'x,-y+1/2,z'
'y+1/2,x+1/2,-z'
'-y+1/2,-x+1/2,z'
loop_
_atom_site_label
_atom_site_type_symbol
_atom_site_fract_x
_atom_site_fract_y
_atom_site_fract_z
Pu1 Pu 0.2500 0.2500 0.0926
Pa1 Pa 0.2500 0.2500 0.6166
P1 P 0.2500 0.2500 0.3995
P2 P 0.2500 0.2500 0.8119
O1 O 0.2500 0.7500 0.0000
```

=====

(6)
# P6Pb10O25
Simulated X-ray diffraction stick pattern, CuKα. Input: the PBE geometry in Alexandria.
Intensities are scaled so that the largest is 100.

Peak list (12 most intense, 15° ≤ 2θ ≤ 90°, sorted by position)
hkl, 2theta, I (rel.)
2 0 0, 20.45, 19
2 -1 1, 21.32, 23
1 0 2, 25.91, 26
2 1 0, 27.16, 26
1 1 2, 29.74, 100
3 0 0, 30.89, 25
2 2 2, 43.43, 22
4 -3 2, 44.73, 13
3 -1 3, 45.65, 18
4 1 0, 48.00, 14
4 0 2, 48.46, 19
6 -3 2, 60.66, 11

Atomic structure:
```
data_P6Pb10O25
_chemical_formula_sum 'P6 Pb10 O25'
_cell_length_a 10.0289
_cell_length_b 10.0289
_cell_length_c 7.4902
_cell_angle_alpha 90.00
_cell_angle_beta 90.00
_cell_angle_gamma 120.00
_space_group_name_H-M_alt 'P 3'
_space_group_IT_number 143
loop_
_space_group_symop_operation_xyz
'x,y,z'
'-y,x-y,z'
'-x+y,-x,z'
loop_
_atom_site_label
_atom_site_type_symbol
_atom_site_fract_x
_atom_site_fract_y
_atom_site_fract_z
P1 P 0.0291 0.4053 0.0000
P2 P 0.3952 0.3670 0.4996
Pb1 Pb 0.0038 0.7750 0.9975
Pb2 Pb 0.2643 0.0052 0.4987
Pb3 Pb 0.3333 0.6667 0.2460
Pb4 Pb 0.3333 0.6667 0.7552
Pb5 Pb 0.6667 0.3333 0.2386
Pb6 Pb 0.6667 0.3333 0.7586
O1 O 0.0000 0.0000 0.9909
O2 O 0.0715 0.3412 0.1675
O3 O 0.0738 0.3447 0.8311
O4 O 0.1300 0.5852 0.0022
O5 O 0.1492 0.6804 0.5006
O6 O 0.3483 0.2589 0.3336
O7 O 0.3519 0.2608 0.6672
O8 O 0.4997 0.1451 0.9989
O9 O 0.5276 0.1042 0.4971
```

=====

(7)
# P3Pb4O12
Simulated X-ray diffraction stick pattern, CuKα. Input: the PBE geometry in Alexandria.
Intensities are scaled so that the largest is 100.

Peak list (12 most intense, 15° ≤ 2θ ≤ 90°, sorted by position)
hkl, 2theta, I (rel.)
2 1 1, 20.48, 60
3 1 0, 26.54, 100
3 2 1, 31.52, 73
4 2 2, 41.66, 41
5 1 0, 43.45, 57
5 3 2, 53.16, 31
6 2 0, 54.66, 16
5 4 1, 56.13, 19
6 3 1, 58.99, 13
6 6 0, 76.04, 13
7 4 3, 77.28, 18
9 2 1, 84.63, 14

Atomic structure:
```
data_P3Pb4O12
_chemical_formula_sum 'P12 Pb16 O48'
_cell_length_a 10.6201
_cell_length_b 10.6201
_cell_length_c 10.6201
_cell_angle_alpha 90.00
_cell_angle_beta 90.00
_cell_angle_gamma 90.00
_space_group_name_H-M_alt 'I -4 3 d'
_space_group_IT_number 220
_space_group_name_Hall 'I -4bd 2c 3'
loop_
_atom_site_label
_atom_site_type_symbol
_atom_site_fract_x
_atom_site_fract_y
_atom_site_fract_z
P1 P 0.0000 0.2500 0.3750
Pb1 Pb 0.0765 0.0765 0.0765
O1 O 0.0425 0.1124 0.7046
```

=====

(8)
# P3Pb5O12
Simulated X-ray diffraction stick pattern, CuKα. Input: the PBE geometry in Alexandria.
Intensities are scaled so that the largest is 100.

Peak list (12 most intense, 15° ≤ 2θ ≤ 90°, sorted by position)
hkl, 2theta, I (rel.)
2 0 0, 20.56, 37
1 1 1, 21.47, 33
1 0 2, 26.18, 45
1 2 0, 27.31, 50
1 2 1, 29.90, 100
1 1 2, 30.05, 80
3 0 0, 31.05, 35
2 2 2, 43.75, 36
2 1 3, 46.09, 33
1 4 0, 48.26, 29
4 0 2, 48.80, 34
5 2 2, 72.97, 23

Atomic structure:
```
data_P3Pb5O12
_chemical_formula_sum 'P6 Pb10 O24'
_cell_length_a 9.9778
_cell_length_b 9.9778
_cell_length_c 7.4072
_cell_angle_alpha 90.00
_cell_angle_beta 90.00
_cell_angle_gamma 120.00
_space_group_name_H-M_alt 'P 63/m'
_space_group_IT_number 176
_space_group_name_Hall '-P 6c'
loop_
_atom_site_label
_atom_site_type_symbol
_atom_site_fract_x
_atom_site_fract_y
_atom_site_fract_z
P1 P 0.0290 0.6281 0.2500
Pb1 Pb 0.0052 0.2414 0.2500
Pb2 Pb 0.3333 0.6667 0.5027
O1 O 0.0846 0.7366 0.0808
O2 O 0.1144 0.5320 0.2500
O3 O 0.1489 0.4802 0.7500
```

=====

(9)
# P4Pb3O13
Simulated X-ray diffraction stick pattern, CuKα. Input: the PBE geometry in Alexandria.
Intensities are scaled so that the largest is 100.

Peak list (12 most intense, 15° ≤ 2θ ≤ 90°, sorted by position)
hkl, 2theta, I (rel.)
1 -1 1, 18.35, 51
0 1 2, 23.86, 52
2 0 0, 24.78, 83
1 -2 1, 25.42, 69
1 2 -1, 26.17, 45
-1 2 1, 27.06, 73
1 1 -3, 27.25, 100
2 1 0, 28.84, 54
-2 1 2, 29.42, 44
1 -1 3, 32.20, 36
1 0 3, 33.20, 34
0 3 -2, 35.18, 34

Atomic structure:
```
data_P4Pb3O13
_chemical_formula_sum 'P8 Pb6 O26'
_cell_length_a 7.4840
_cell_length_b 7.9990
_cell_length_c 10.3627
_cell_angle_alpha 102.57
_cell_angle_beta 104.17
_cell_angle_gamma 94.55
_space_group_name_H-M_alt 'P -1'
_space_group_IT_number 2
loop_
_space_group_symop_operation_xyz
'x,y,z'
'-x,-y,-z'
loop_
_atom_site_label
_atom_site_type_symbol
_atom_site_fract_x
_atom_site_fract_y
_atom_site_fract_z
P1 P 0.1348 0.4641 0.3359
P2 P 0.1865 0.1911 0.9649
P3 P 0.3323 0.8037 0.5073
P4 P 0.3578 0.5380 0.1369
Pb1 Pb 0.2078 0.2256 0.6149
Pb2 Pb 0.2431 0.9768 0.2270
Pb3 Pb 0.3125 0.7653 0.8482
O1 O 0.0053 0.1849 0.0052
O2 O 0.0674 0.5069 0.6866
O3 O 0.1566 0.8921 0.4700
O4 O 0.1617 0.1183 0.8109
O5 O 0.1744 0.2848 0.3444
O6 O 0.1967 0.5293 0.2143
O7 O 0.2597 0.5942 0.4738
O8 O 0.2724 0.3972 0.9944
O9 O 0.3404 0.1113 0.0531
O10 O 0.3717 0.7119 0.1029
O11 O 0.4246 0.8497 0.6624
O12 O 0.4610 0.8224 0.4167
O13 O 0.4646 0.5109 0.7828
```